The following is a computed powder XRD pattern of LaPr12Al4N3. It was derived from a crystal structure in Alexandria, relaxed with PBE, using CuKα.
Lines closer than 0.1° are merged.

The 10 most intense peaks (2θ from 5° to 70°), in order of rising 2θ:
17.2 deg, intensity 48.4, (2 0 0); 30.0 deg, intensity 100.0, (2 2 2); 32.5 deg, intensity 9.2, (3 2 1); 34.8 deg, intensity 74.9, (4 0 0); 39.1 deg, intensity 20.7, (4 2 0); 41.1 deg, intensity 7.7, (3 3 2); 50.1 deg, intensity 50.2, (4 4 0); 53.3 deg, intensity 10.2, (6 0 0); 59.5 deg, intensity 38.3, (6 2 2); 62.4 deg, intensity 16.2, (4 4 4)

Crystal structure
```
data_LaPr12Al4N3
_chemical_formula_sum 'La2 Pr24 Al8 N6'
_space_group_name_H-M_alt 'I m -3 m'
_space_group_IT_number 229
_space_group_name_Hall '-I 4 2 3'
_cell_length_a 10.3051
_cell_length_b 10.3051
_cell_length_c 10.3051
_cell_angle_alpha 90.00
_cell_angle_beta 90.00
_cell_angle_gamma 90.00
loop_
_atom_site_label
_atom_site_type_symbol
_atom_site_fract_x
_atom_site_fract_y
_atom_site_fract_z
La1 La 0.0000 0.0000 0.0000
Pr1 Pr 0.0000 0.0000 0.2744
Pr2 Pr 0.0000 0.2500 0.5000
Al1 Al 0.2500 0.2500 0.2500
N1 N 0.0000 0.0000 0.5000
```